This entry pairs a crystal structure of PmSm6Th4 with its computed powder diffractogram. Radiation: Cu Kα. Structure: the PBE geometry in Alexandria.
Kinematic intensities with the Lorentz-polarization factor, no thermal factor.

Main lines, sorted by position (2θ from 10° to 90°):
2θ = 26.63°, intensity 30, (1 0 3)
2θ = 30.01°, intensity 59, (0 2 0)
2θ = 31.19°, intensity 100, (0 1 11)
2θ = 33.32°, intensity 40, (1 1 6)
2θ = 35.91°, intensity 43, (1 1 8)
2θ = 62.35°, intensity 36, (0 4 0)

```
data_PmSm6Th4
_symmetry_space_group_name_H-M 'I m m m'
_symmetry_Int_Tables_number 71
_symmetry_space_group_name_Hall '-I 2 2'
_cell_length_a 3.486
_cell_length_b 5.956
_cell_length_c 35.983
_cell_angle_alpha 90.00
_cell_angle_beta 90.00
_cell_angle_gamma 90.00
loop_
_atom_site_label
_atom_site_fract_x
_atom_site_fract_y
_atom_site_fract_z
_atom_site_occupancy
Pm1 0.000 0.000 0.000 1
Sm1 0.000 0.500 0.131 1
Sm2 0.000 0.500 0.232 1
Sm3 0.000 0.500 0.404 1
Th1 0.000 0.000 0.183 1
Th2 0.000 0.000 0.456 1
```